[1]
For KCuC2N2, a structure optimized by DFT (PBE) gives the simulated XRD peak list in this record (Cu Kα, 1.54184 Å).

Top 10 peaks for 2θ = 10–90°, by intensity:
(hkl)  2θ/deg  Rel. int.
1 0 0  11.71  100
2 1 -1  27.18  76
1 1 1  21.58  60
1 1 2  31.12  60
0 1 1  16.65  44
1 2 -1  27.72  42
1 0 -2  25.14  40
2 3 0  42.40  39
2 2 -1  33.88  37
0 2 1  26.01  34

Structural model:
```
data_KCuC2N2
_chemical_formula_sum 'K4 Cu4 C8 N8'
_symmetry_space_group_name_H-M 'P 1'
_symmetry_Int_Tables_number 1
_symmetry_space_group_name_Hall 'P 1'
_cell_length_a 7.673
_cell_length_b 7.750
_cell_length_c 7.434
_cell_angle_alpha 90.00
_cell_angle_beta 99.87
_cell_angle_gamma 90.00
loop_
_atom_site_label
_atom_site_fract_x
_atom_site_fract_y
_atom_site_fract_z
K1 0.190 0.076 0.319
K2 0.190 0.424 0.819
K3 0.810 0.576 0.181
K4 0.810 0.924 0.681
Cu1 0.399 0.619 0.417
Cu2 0.399 0.881 0.917
Cu3 0.601 0.119 0.083
Cu4 0.601 0.381 0.583
C1 0.175 0.696 0.460
C2 0.175 0.804 0.960
C3 0.451 0.084 0.788
C4 0.451 0.416 0.288
C5 0.549 0.584 0.712
C6 0.549 0.916 0.212
C7 0.825 0.196 0.040
C8 0.825 0.304 0.540
N1 0.036 0.750 0.480
N2 0.036 0.750 0.980
N3 0.467 0.187 0.673
N4 0.467 0.313 0.173
N5 0.533 0.687 0.827
N6 0.533 0.813 0.327
N7 0.964 0.250 0.020
N8 0.964 0.250 0.520
```

[2]
For K2CuC4O10, a structure optimized by DFT (PBE) gives the simulated XRD peak list in this record (Cu Kα, 1.54184 Å).

Top 10 peaks for 2θ = 10–90°, by intensity:
(hkl)  2θ/deg  Rel. int.
1 0 -1  14.28  100
1 1 -3  29.39  73
0 1 0  10.96  50
1 -1 1  18.22  46
1 2 -2  27.10  35
2 2 0  38.40  35
1 1 -1  17.46  34
0 3 0  33.29  25
2 -1 0  26.30  24
0 2 -3  31.20  23

Structural model:
```
data_K2CuC4O10
_chemical_formula_sum 'K4 Cu2 C8 O20'
_symmetry_space_group_name_H-M 'P 1'
_symmetry_Int_Tables_number 1
_symmetry_space_group_name_Hall 'P 1'
_cell_length_a 7.089
_cell_length_b 8.756
_cell_length_c 9.372
_cell_angle_alpha 109.01
_cell_angle_beta 102.76
_cell_angle_gamma 97.55
loop_
_atom_site_label
_atom_site_fract_x
_atom_site_fract_y
_atom_site_fract_z
K1 0.131 0.319 0.360
K2 0.237 0.364 0.956
K3 0.763 0.636 0.044
K4 0.869 0.681 0.640
Cu1 0.000 0.000 0.000
Cu2 0.500 0.000 0.500
C1 0.237 0.719 0.327
C2 0.297 0.820 0.035
C3 0.397 0.010 0.139
C4 0.442 0.676 0.348
C5 0.558 0.324 0.652
C6 0.603 0.990 0.861
C7 0.703 0.180 0.965
C8 0.763 0.281 0.673
O1 0.046 0.017 0.824
O2 0.083 0.610 0.252
O3 0.113 0.790 0.963
O4 0.240 0.876 0.391
O5 0.283 0.671 0.633
O6 0.290 0.115 0.132
O7 0.398 0.714 0.034
O8 0.411 0.197 0.564
O9 0.428 0.956 0.776
O10 0.464 0.535 0.286
O11 0.536 0.465 0.714
O12 0.572 0.044 0.224
O13 0.589 0.803 0.436
O14 0.602 0.286 0.966
O15 0.710 0.885 0.868
O16 0.717 0.329 0.367
O17 0.760 0.124 0.609
O18 0.887 0.210 0.037
O19 0.917 0.390 0.748
O20 0.954 0.983 0.176
```

- What is the formula in the first record?
  KCuC2N2

- Which formula does entry 1 have?
  KCuC2N2

Repeat the second record exactly.
For K2CuC4O10, a structure optimized by DFT (PBE) gives the simulated XRD peak list in this record (Cu Kα, 1.54184 Å).

Top 10 peaks for 2θ = 10–90°, by intensity:
(hkl)  2θ/deg  Rel. int.
1 0 -1  14.28  100
1 1 -3  29.39  73
0 1 0  10.96  50
1 -1 1  18.22  46
1 2 -2  27.10  35
2 2 0  38.40  35
1 1 -1  17.46  34
0 3 0  33.29  25
2 -1 0  26.30  24
0 2 -3  31.20  23

Structural model:
```
data_K2CuC4O10
_chemical_formula_sum 'K4 Cu2 C8 O20'
_symmetry_space_group_name_H-M 'P 1'
_symmetry_Int_Tables_number 1
_symmetry_space_group_name_Hall 'P 1'
_cell_length_a 7.089
_cell_length_b 8.756
_cell_length_c 9.372
_cell_angle_alpha 109.01
_cell_angle_beta 102.76
_cell_angle_gamma 97.55
loop_
_atom_site_label
_atom_site_fract_x
_atom_site_fract_y
_atom_site_fract_z
K1 0.131 0.319 0.360
K2 0.237 0.364 0.956
K3 0.763 0.636 0.044
K4 0.869 0.681 0.640
Cu1 0.000 0.000 0.000
Cu2 0.500 0.000 0.500
C1 0.237 0.719 0.327
C2 0.297 0.820 0.035
C3 0.397 0.010 0.139
C4 0.442 0.676 0.348
C5 0.558 0.324 0.652
C6 0.603 0.990 0.861
C7 0.703 0.180 0.965
C8 0.763 0.281 0.673
O1 0.046 0.017 0.824
O2 0.083 0.610 0.252
O3 0.113 0.790 0.963
O4 0.240 0.876 0.391
O5 0.283 0.671 0.633
O6 0.290 0.115 0.132
O7 0.398 0.714 0.034
O8 0.411 0.197 0.564
O9 0.428 0.956 0.776
O10 0.464 0.535 0.286
O11 0.536 0.465 0.714
O12 0.572 0.044 0.224
O13 0.589 0.803 0.436
O14 0.602 0.286 0.966
O15 0.710 0.885 0.868
O16 0.717 0.329 0.367
O17 0.760 0.124 0.609
O18 0.887 0.210 0.037
O19 0.917 0.390 0.748
O20 0.954 0.983 0.176
```